1.
Ac2Ga5Ag3: theoretical X-ray powder pattern (Cu Kα (weighted mean of Kα1 and Kα2)), based on a DFT-relaxed cell (GGA-PBE, Alexandria).
No peak broadening, texture or thermal motion is included.

Main lines, most intense first (15° ≤ 2θ ≤ 90°):
2.826 Å, 31.7 deg, I = 100, hkl 3 2 1; 2.273 Å, 39.7 deg, I = 75, hkl 0 4 2; 2.745 Å, 32.6 deg, I = 61, hkl 2 0 2; 2.783 Å, 32.2 deg, I = 60, hkl 2 4 0; 1.955 Å, 46.5 deg, I = 32, hkl 5 2 1; 1.761 Å, 51.9 deg, I = 25, hkl 3 2 3; 1.782 Å, 51.3 deg, I = 25, hkl 3 6 1; 1.397 Å, 67.0 deg, I = 24, hkl 2 8 2; 3.245 Å, 27.5 deg, I = 19, hkl 0 4 0; 3.184 Å, 28.0 deg, I = 17, hkl 0 0 2

Crystal structure
Cell: 10.8246 12.9819 6.3686 Å, 90.00 90.00 90.00°
Space group Ibam (No. 72)
Symmetry-distinct sites (fractional):
Ac 0.2376 0.1273 0.0000 [8 per cell]
Ga 0.0000 0.0000 0.2500 [4 per cell]
Ga 0.0000 0.2709 0.2500 [8 per cell]
Ga 0.1445 0.3813 0.0000 [8 per cell]
Ag 0.0000 0.5000 0.2500 [4 per cell]
Ag 0.1145 0.1343 0.5000 [8 per cell]

2.
Pu2PdAu2: theoretical X-ray powder pattern (Cu Kα (weighted mean of Kα1 and Kα2)), based on a DFT-relaxed cell (GGA-PBE, Alexandria).
No peak broadening, texture or thermal motion is included.

Main lines, most intense first (15° ≤ 2θ ≤ 90°):
2.766 Å, 32.4 deg, I = 100, hkl 1 1 -3; 2.367 Å, 38.0 deg, I = 70, hkl 3 1 1; 2.895 Å, 30.9 deg, I = 48, hkl 1 1 2; 2.661 Å, 33.7 deg, I = 46, hkl 4 0 -2; 2.086 Å, 43.4 deg, I = 44, hkl 0 2 0; 2.439 Å, 36.9 deg, I = 43, hkl 3 1 -3; 2.714 Å, 33.0 deg, I = 42, hkl 3 1 -1; 1.642 Å, 56.0 deg, I = 22, hkl 4 2 -2; 1.437 Å, 64.9 deg, I = 20, hkl 7 1 -3; 2.253 Å, 40.0 deg, I = 18, hkl 4 0 -4

Crystal structure
Cell: 10.7317 4.1715 11.0864 Å, 90.00 111.51 90.00°
Space group C2/m (No. 12)
Symmetry-distinct sites (fractional):
Pu 0.0000 0.0000 0.1644 [4 per cell]
Pu 0.1822 0.0000 0.6146 [4 per cell]
Pd 0.1996 0.5000 0.8094 [4 per cell]
Au 0.0461 0.5000 0.3933 [4 per cell]
Au 0.1479 0.5000 0.0501 [4 per cell]

3.
Rb11BrO5: theoretical X-ray powder pattern (Cu Kα (weighted mean of Kα1 and Kα2)), based on a DFT-relaxed cell (GGA-PBE, Alexandria).
No peak broadening, texture or thermal motion is included.

Main lines, most intense first (15° ≤ 2θ ≤ 90°):
3.326 Å, 26.8 deg, I = 100, hkl 1 3 -2; 3.530 Å, 25.2 deg, I = 84, hkl 2 0 1; 3.407 Å, 26.2 deg, I = 83, hkl 0 4 1; 2.827 Å, 31.7 deg, I = 72, hkl 0 0 3; 2.879 Å, 31.1 deg, I = 71, hkl 2 4 0; 2.708 Å, 33.1 deg, I = 62, hkl 3 3 -1; 2.170 Å, 41.6 deg, I = 46, hkl 2 4 2; 2.929 Å, 30.5 deg, I = 40, hkl 2 4 -1; 1.736 Å, 52.7 deg, I = 39, hkl 3 7 -2; 2.951 Å, 30.3 deg, I = 37, hkl 3 1 -2

Crystal structure
Cell: 9.7003 14.8743 9.0420 Å, 90.00 110.32 90.00°
Space group C2/m (No. 12)
Symmetry-distinct sites (fractional):
Rb 0.0000 0.0000 0.0000 [2 per cell]
Rb 0.0903 0.2088 0.8529 [8 per cell]
Rb 0.1092 0.5000 0.8282 [4 per cell]
Rb 0.2137 0.3758 0.5428 [8 per cell]
Br 0.0000 0.0000 0.5000 [2 per cell]
O 0.0000 0.5000 0.5000 [2 per cell]
O 0.2108 0.1501 0.1516 [8 per cell]

4.
Th4IrC2: theoretical X-ray powder pattern (Cu Kα (weighted mean of Kα1 and Kα2)), based on a DFT-relaxed cell (GGA-PBE, Alexandria).
No peak broadening, texture or thermal motion is included.

Main lines, most intense first (15° ≤ 2θ ≤ 90°):
2.738 Å, 32.7 deg, I = 100, hkl 1 3 1; 2.926 Å, 30.6 deg, I = 98, hkl 0 2 4; 2.813 Å, 31.8 deg, I = 88, hkl 1 1 3; 2.578 Å, 34.8 deg, I = 41, hkl 1 3 2; 2.800 Å, 32.0 deg, I = 37, hkl 0 4 2; 1.597 Å, 57.7 deg, I = 34, hkl 2 2 4; 1.571 Å, 58.8 deg, I = 28, hkl 1 3 7; 1.906 Å, 47.7 deg, I = 27, hkl 2 0 0; 3.194 Å, 27.9 deg, I = 25, hkl 1 1 2; 1.204 Å, 79.6 deg, I = 22, hkl 1 9 4

Crystal structure
Cell: 3.8117 12.3589 13.2866 Å, 90.00 90.00 90.00°
Space group Cmcm (No. 63)
Symmetry-distinct sites (fractional):
Th 0.0000 0.0000 0.0000 [4 per cell]
Th 0.0000 0.2756 0.1104 [8 per cell]
Th 0.0000 0.4365 0.7500 [4 per cell]
Ir 0.0000 0.1080 0.7500 [4 per cell]
C 0.0000 0.3649 0.5629 [8 per cell]

5.
Rb2YHgS: theoretical X-ray powder pattern (Cu Kα (weighted mean of Kα1 and Kα2)), based on a DFT-relaxed cell (GGA-PBE, Alexandria).
No peak broadening, texture or thermal motion is included.

Main lines, most intense first (15° ≤ 2θ ≤ 90°):
3.469 Å, 25.7 deg, I = 100, hkl 1 1 1; 3.278 Å, 27.2 deg, I = 58, hkl 2 0 0; 1.927 Å, 47.2 deg, I = 39, hkl 3 1 1; 2.044 Å, 44.3 deg, I = 31, hkl 2 0 2; 2.318 Å, 38.9 deg, I = 22, hkl 2 2 0; 1.734 Å, 52.8 deg, I = 18, hkl 2 2 2; 2.615 Å, 34.3 deg, I = 16, hkl 0 0 2; 1.279 Å, 74.2 deg, I = 13, hkl 4 2 2; 4.636 Å, 19.1 deg, I = 12, hkl 1 1 0; 1.334 Å, 70.6 deg, I = 12, hkl 3 1 3

Crystal structure
Cell: 6.5556 6.5556 5.2298 Å, 90.00 90.00 90.00°
Space group P4/mmm (No. 123)
Symmetry-distinct sites (fractional):
Rb 0.0000 0.5000 0.0000 [2 per cell]
Y 0.0000 0.0000 0.5000 [1 per cell]
Hg 0.5000 0.5000 0.5000 [1 per cell]
S 0.5000 0.5000 0.0000 [1 per cell]

6.
Tm2MgPd4: theoretical X-ray powder pattern (Cu Kα (weighted mean of Kα1 and Kα2)), based on a DFT-relaxed cell (GGA-PBE, Alexandria).
No peak broadening, texture or thermal motion is included.

Main lines, most intense first (15° ≤ 2θ ≤ 90°):
2.501 Å, 35.9 deg, I = 100, hkl 1 1 -2; 2.400 Å, 37.5 deg, I = 77, hkl 1 2 1; 2.490 Å, 36.1 deg, I = 48, hkl 1 -1 0; 1.986 Å, 45.7 deg, I = 39, hkl 2 1 0; 2.588 Å, 34.7 deg, I = 31, hkl 1 1 2; 3.211 Å, 27.8 deg, I = 28, hkl 1 0 1; 1.905 Å, 47.7 deg, I = 25, hkl 0 2 -2; 2.105 Å, 43.0 deg, I = 24, hkl -1 1 2; 2.191 Å, 41.2 deg, I = 22, hkl 0 1 3; 2.298 Å, 39.2 deg, I = 21, hkl 1 -1 1

Crystal structure
Cell: 3.9724 5.2070 7.0846 Å, 85.22 89.94 67.58°
Space group P-1 (No. 2)
Symmetry-distinct sites (fractional):
Tm 0.1291 0.2422 0.1847 [2 per cell]
Mg 0.5000 0.5000 0.5000 [1 per cell]
Pd 0.1893 0.1206 0.6143 [2 per cell]
Pd 0.4114 0.6805 0.1349 [2 per cell]

7.
LaPm5Tl6: theoretical X-ray powder pattern (Cu Kα (weighted mean of Kα1 and Kα2)), based on a DFT-relaxed cell (GGA-PBE, Alexandria).
No peak broadening, texture or thermal motion is included.

Main lines, most intense first (15° ≤ 2θ ≤ 90°):
2.770 Å, 32.3 deg, I = 100, hkl 2 0 -1; 2.755 Å, 32.5 deg, I = 98, hkl 1 2 1; 2.746 Å, 32.6 deg, I = 98, hkl 1 2 -2; 1.593 Å, 57.9 deg, I = 38, hkl 3 2 -3; 1.584 Å, 58.2 deg, I = 38, hkl 2 4 -1; 1.597 Å, 57.7 deg, I = 19, hkl 3 2 0; 1.599 Å, 57.7 deg, I = 19, hkl 1 2 4; 1.965 Å, 46.2 deg, I = 19, hkl 2 0 2; 1.953 Å, 46.5 deg, I = 18, hkl 2 0 -4; 1.931 Å, 47.1 deg, I = 18, hkl 0 4 0

Crystal structure
Cell: 5.5371 7.7253 8.7477 Å, 90.00 108.09 90.00°
Space group P2/m (No. 10)
Symmetry-distinct sites (fractional):
La 0.0000 0.0000 0.0000 [1 per cell]
Pm 0.0000 0.5000 0.0000 [1 per cell]
Pm 0.3327 0.0000 0.6654 [2 per cell]
Pm 0.3357 0.5000 0.6714 [2 per cell]
Tl 0.1689 0.2541 0.3379 [4 per cell]
Tl 0.5000 0.2528 0.0000 [2 per cell]